Record 1
For RbDy2CuSe4, a structure optimized by DFT (GGA-PBE) gives the theoretical X-ray diffraction stick pattern in this record (Cu Kα, 1.54184 Å).
No peak broadening, texture or thermal motion is included.

Principal peaks in the range 2θ = 10–80°, sorted by position:
| Position (°2θ) | intensity |
| --- | --- |
| 13.80 | 47 |
| 22.27 | 50 |
| 29.21 | 78 |
| 31.16 | 100 |
| 33.48 | 37 |
| 38.53 | 30 |
| 42.73 | 64 |
| 43.73 | 39 |

Structural model:
a = 7.4563 Å, b = 7.4563 Å, c = 14.4358 Å
α = 90.00°, β = 90.00°, γ = 147.76°
Fractional positions:
Rb1 0.1103 0.8897 0.7500
Rb2 0.8897 0.1103 0.2500
Dy1 0.3660 0.6340 0.5639
Dy2 0.3660 0.6340 0.9361
Dy3 0.6340 0.3660 0.0639
Dy4 0.6340 0.3660 0.4361
Cu1 0.1632 0.8368 0.2500
Cu2 0.8368 0.1632 0.7500
Se1 0.0000 0.0000 0.0000
Se2 0.0000 0.0000 0.5000
Se3 0.2617 0.7383 0.1090
Se4 0.2617 0.7383 0.3910
Se5 0.4295 0.5705 0.7500
Se6 0.5705 0.4295 0.2500
Se7 0.7383 0.2617 0.6090
Se8 0.7383 0.2617 0.8910

Record 2
For YMg14Nb, a structure optimized by DFT (GGA-PBE) gives the theoretical X-ray diffraction stick pattern in this record (Cu Kα, 1.54184 Å).
No peak broadening, texture or thermal motion is included.

Principal peaks in the range 2θ = 10–80°, sorted by position:
| Position (°2θ) | intensity |
| --- | --- |
| 15.76 | 34 |
| 23.71 | 24 |
| 31.83 | 29 |
| 35.64 | 23 |
| 36.61 | 100 |
| 48.53 | 19 |
| 56.71 | 22 |
| 68.81 | 19 |

Structural model:
a = 6.4917 Å, b = 6.4917 Å, c = 10.0760 Å
α = 90.00°, β = 90.00°, γ = 120.00°
Fractional positions:
Y1 0.0000 0.0000 0.0000
Mg1 0.0075 0.5037 0.0000
Mg2 0.1643 0.3286 0.2602
Mg3 0.1643 0.3286 0.7398
Mg4 0.1643 0.8357 0.2602
Mg5 0.1643 0.8357 0.7398
Mg6 0.4963 0.5037 0.0000
Mg7 0.4963 0.9925 0.0000
Mg8 0.5003 0.0007 0.5000
Mg9 0.5003 0.4997 0.5000
Mg10 0.6667 0.3333 0.2460
Mg11 0.6667 0.3333 0.7540
Mg12 0.6714 0.8357 0.2602
Mg13 0.6714 0.8357 0.7398
Mg14 0.9993 0.4997 0.5000
Nb1 0.0000 0.0000 0.5000

Please write out number 1 again, unchanged.
For RbDy2CuSe4, a structure optimized by DFT (GGA-PBE) gives the theoretical X-ray diffraction stick pattern in this record (Cu Kα, 1.54184 Å).
No peak broadening, texture or thermal motion is included.

Principal peaks in the range 2θ = 10–80°, sorted by position:
| Position (°2θ) | intensity |
| --- | --- |
| 13.80 | 47 |
| 22.27 | 50 |
| 29.21 | 78 |
| 31.16 | 100 |
| 33.48 | 37 |
| 38.53 | 30 |
| 42.73 | 64 |
| 43.73 | 39 |

Structural model:
a = 7.4563 Å, b = 7.4563 Å, c = 14.4358 Å
α = 90.00°, β = 90.00°, γ = 147.76°
Fractional positions:
Rb1 0.1103 0.8897 0.7500
Rb2 0.8897 0.1103 0.2500
Dy1 0.3660 0.6340 0.5639
Dy2 0.3660 0.6340 0.9361
Dy3 0.6340 0.3660 0.0639
Dy4 0.6340 0.3660 0.4361
Cu1 0.1632 0.8368 0.2500
Cu2 0.8368 0.1632 0.7500
Se1 0.0000 0.0000 0.0000
Se2 0.0000 0.0000 0.5000
Se3 0.2617 0.7383 0.1090
Se4 0.2617 0.7383 0.3910
Se5 0.4295 0.5705 0.7500
Se6 0.5705 0.4295 0.2500
Se7 0.7383 0.2617 0.6090
Se8 0.7383 0.2617 0.8910